This entry pairs a crystal structure of La6DySe8 with its computed powder diffractogram. Radiation: λ = 1.5418 Å (Cu Kα). Structure: a crystal structure in Alexandria, relaxed with GGA-PBE.
Kinematic intensities with the Lorentz-polarization factor, no thermal factor.

Main lines, by angle (2θ from 10° to 90°):
(1 1 1), 12.63°, I 130
(3 1 1), 24.32°, I 56
(2 2 2), 25.42°, I 86
(4 0 0), 29.44°, I 1000
(4 4 0), 42.11°, I 746
(6 2 2), 49.84°, I 46
(4 4 4), 52.21°, I 263
(8 0 0), 61.08°, I 122
(8 4 0), 69.24°, I 332
(8 4 4), 76.97°, I 246

Structure:
Cell lengths 12.1374, 12.1374, 12.1374 Å; angles 90.00, 90.00, 90.00 degrees
Space group Fm-3m (No. 225)
One atom of each set of equivalent atoms:
La1 0.0000 0.2500 0.2500
Dy1 0.0000 0.0000 0.0000
Se1 0.0000 0.0000 0.2410
Se2 0.2500 0.2500 0.2500